For CsMg6CO8, a GGA-PBE-relaxed structure gives the theoretical powder diffraction line list in this record (copper Kα).
Peak positions follow from Bragg's law for the DFT cell and can differ from measured ones.

Top 10 peaks for 2θ from 10° to 80°, low angle first:
2θ (°), d_spacing, intensity, index
20.0, 4.447, 49, 1 0 0
22.1, 4.019, 71, 1 0 1
27.6, 3.228, 47, 1 0 2
34.3, 2.613, 46, 1 1 2
35.1, 2.559, 29, 1 0 3
38.4, 2.347, 49, 0 0 4
40.6, 2.224, 100, 2 0 0
57.1, 1.614, 60, 2 0 4
58.7, 1.572, 30, 2 2 0
72.3, 1.306, 25, 2 2 4

```
data_CsMg6CO8
_chemical_formula_sum 'Cs1 Mg6 C1 O8'
_cell_length_a 4.4472
_cell_length_b 4.4472
_cell_length_c 9.3882
_cell_angle_alpha 90.00
_cell_angle_beta 90.00
_cell_angle_gamma 90.00
_symmetry_space_group_name_H-M 'P 4/m m m'
_symmetry_Int_Tables_number 123
_symmetry_space_group_name_Hall '-P 4 2'
loop_
_atom_site_label
_atom_site_type_symbol
_atom_site_fract_x
_atom_site_fract_y
_atom_site_fract_z
Cs1 Cs 0.0000 0.0000 0.0000
Mg1 Mg 0.0000 0.0000 0.5000
Mg2 Mg 0.0000 0.5000 0.2760
Mg3 Mg 0.5000 0.5000 0.5000
C1 C 0.5000 0.5000 0.0000
O1 O 0.0000 0.0000 0.2879
O2 O 0.0000 0.5000 0.0000
O3 O 0.0000 0.5000 0.5000
O4 O 0.5000 0.5000 0.2674
```